Diffraction record for SrCrPO5. The powder XRD pattern is simulated, not measured: it uses a crystal structure in Alexandria, relaxed with PBE+U and λ = 1.5418 Å (Cu Kα).
Peak positions follow from Bragg's law for the DFT cell and can differ from measured ones.

```
data_SrCrPO5
_space_group_name_H-M_alt 'C 1 2/c 1'
_space_group_IT_number 15
_space_group_name_Hall '-C 2yc'
_cell_length_a 6.789
_cell_length_b 9.010
_cell_length_c 7.119
_cell_angle_alpha 90.00
_cell_angle_beta 113.71
_cell_angle_gamma 90.00
loop_
_atom_site_label
_atom_site_type_symbol
_atom_site_fract_x
_atom_site_fract_y
_atom_site_fract_z
Sr1 Sr 0.000 0.168 0.250
Cr1 Cr 0.000 0.500 0.000
P1 P 0.000 0.187 0.750
O1 O 0.000 0.426 0.250
O2 O 0.095 0.286 0.627
O3 O 0.175 0.084 0.905
```

The 10 most intense peaks (10° ≤ 2θ ≤ 90°), by angle:
- 3.285 Å, 2θ 27.1, I = 965
- 3.108 Å, 2θ 28.7, I = 987
- 2.704 Å, 2θ 33.1, I = 1000
- 2.641 Å, 2θ 33.9, I = 514
- 2.289 Å, 2θ 39.4, I = 350
- 2.130 Å, 2θ 42.4, I = 409
- 1.781 Å, 2θ 51.3, I = 189
- 1.751 Å, 2θ 52.3, I = 211
- 1.705 Å, 2θ 53.7, I = 294
- 1.518 Å, 2θ 61.0, I = 221

Diffraction record for TiCrP3O12. The powder XRD pattern is simulated, not measured: it uses a crystal structure in Alexandria, relaxed with PBE+U and λ = 1.5418 Å (Cu Kα).
Peak positions follow from Bragg's law for the DFT cell and can differ from measured ones.

```
data_TiCrP3O12
_space_group_name_H-M_alt 'R 3 c'
_space_group_IT_number 161
_space_group_name_Hall 'R 3 -2"c'
_cell_length_a 8.6136
_cell_length_b 8.6136
_cell_length_c 21.8288
_cell_angle_alpha 90.00
_cell_angle_beta 90.00
_cell_angle_gamma 120.00
loop_
_atom_site_label
_atom_site_type_symbol
_atom_site_fract_x
_atom_site_fract_y
_atom_site_fract_z
Ti1 Ti 0.0000 0.0000 0.0000
Cr1 Cr 0.0000 0.0000 0.2837
P1 P 0.0049 0.2858 0.3909
O1 O 0.0268 0.1983 0.0502
O2 O 0.0325 0.2012 0.3328
O3 O 0.1619 0.4732 0.1147
O4 O 0.1704 0.4742 0.3966
```

The 10 most intense peaks (10° ≤ 2θ ≤ 90°), by angle:
- 6.159 Å, 2θ 14.4, I = 418
- 4.404 Å, 2θ 20.2, I = 493
- 4.307 Å, 2θ 20.6, I = 216
- 3.706 Å, 2θ 24.0, I = 1000
- 3.079 Å, 2θ 29.0, I = 412
- 2.796 Å, 2θ 32.0, I = 152
- 2.779 Å, 2θ 32.2, I = 275
- 2.487 Å, 2θ 36.1, I = 108
- 1.961 Å, 2θ 46.3, I = 107
- 1.725 Å, 2θ 53.1, I = 174

Diffraction record for Ti3VCr2P6O24. The powder XRD pattern is simulated, not measured: it uses a crystal structure in Alexandria, relaxed with PBE+U and λ = 1.5418 Å (Cu Kα).
Peak positions follow from Bragg's law for the DFT cell and can differ from measured ones.

```
data_Ti3VCr2P6O24
_space_group_name_H-M_alt 'R 3'
_space_group_IT_number 146
_space_group_name_Hall 'R 3'
_cell_length_a 8.6455
_cell_length_b 8.6455
_cell_length_c 21.2972
_cell_angle_alpha 90.00
_cell_angle_beta 90.00
_cell_angle_gamma 120.00
loop_
_atom_site_label
_atom_site_type_symbol
_atom_site_fract_x
_atom_site_fract_y
_atom_site_fract_z
Ti1 Ti 0.0000 0.0000 0.0000
Ti2 Ti 0.0000 0.0000 0.2099
Ti3 Ti 0.0000 0.0000 0.7093
V1 V 0.0000 0.0000 0.4966
Cr1 Cr 0.0000 0.0000 0.3542
Cr2 Cr 0.0000 0.0000 0.8563
P1 P 0.0406 0.3726 0.2710
P2 P 0.0418 0.6685 0.7710
O1 O 0.9997 0.8094 0.1643
O2 O 0.0089 0.2060 0.5445
O3 O 0.0198 0.8358 0.7760
O4 O 0.0270 0.1855 0.2767
O5 O 0.1457 0.4778 0.3305
O6 O 0.1549 0.6824 0.7131
O7 O 0.1604 0.4879 0.6046
O8 O 0.1685 0.6941 0.0963
```

The 10 most intense peaks (10° ≤ 2θ ≤ 90°), by angle:
- 4.324 Å, 2θ 20.5, I = 667
- 3.692 Å, 2θ 24.1, I = 1000
- 3.532 Å, 2θ 25.2, I = 147
- 2.805 Å, 2θ 31.9, I = 152
- 2.743 Å, 2θ 32.6, I = 605
- 2.496 Å, 2θ 36.0, I = 287
- 1.939 Å, 2θ 46.9, I = 247
- 1.846 Å, 2θ 49.4, I = 240
- 1.634 Å, 2θ 56.3, I = 177
- 1.484 Å, 2θ 62.6, I = 146

Diffraction record for TlCrP2O7. The powder XRD pattern is simulated, not measured: it uses a crystal structure in Alexandria, relaxed with PBE+U and λ = 1.5418 Å (Cu Kα).
Peak positions follow from Bragg's law for the DFT cell and can differ from measured ones.

```
data_TlCrP2O7
_space_group_name_H-M_alt 'P 1 21/c 1'
_space_group_IT_number 14
_space_group_name_Hall '-P 2ybc'
_cell_length_a 7.612
_cell_length_b 10.097
_cell_length_c 8.356
_cell_angle_alpha 90.00
_cell_angle_beta 106.21
_cell_angle_gamma 90.00
loop_
_atom_site_label
_atom_site_type_symbol
_atom_site_fract_x
_atom_site_fract_y
_atom_site_fract_z
Tl1 Tl 0.183 0.186 0.053
Cr1 Cr 0.239 0.601 0.260
P1 P 0.129 0.597 0.831
P2 P 0.432 0.631 0.689
O1 O 0.012 0.001 0.776
O2 O 0.085 0.737 0.757
O3 O 0.145 0.590 0.015
O4 O 0.319 0.603 0.511
O5 O 0.325 0.554 0.807
O6 O 0.376 0.072 0.763
O7 O 0.444 0.722 0.240
```

The 10 most intense peaks (10° ≤ 2θ ≤ 90°), by angle:
- 6.282 Å, 2θ 14.1, I = 441
- 5.921 Å, 2θ 15.0, I = 438
- 4.022 Å, 2θ 22.1, I = 440
- 3.732 Å, 2θ 23.8, I = 649
- 3.471 Å, 2θ 25.7, I = 658
- 3.144 Å, 2θ 28.4, I = 656
- 3.104 Å, 2θ 28.8, I = 608
- 3.033 Å, 2θ 29.5, I = 714
- 3.019 Å, 2θ 29.6, I = 1000
- 3.007 Å, 2θ 29.7, I = 928

Diffraction record for ZnCr2P2O10. The powder XRD pattern is simulated, not measured: it uses a crystal structure in Alexandria, relaxed with PBE+U and λ = 1.5418 Å (Cu Kα).
Peak positions follow from Bragg's law for the DFT cell and can differ from measured ones.

```
data_ZnCr2P2O10
_space_group_name_H-M_alt 'F d d d'
_space_group_IT_number 70
_cell_length_a 7.137
_cell_length_b 11.206
_cell_length_c 16.015
_cell_angle_alpha 90.00
_cell_angle_beta 90.00
_cell_angle_gamma 90.00
loop_
_space_group_symop_operation_xyz
'x,y,z'
'-x,-y,-z'
'-x+1/4,-y+1/4,z'
'x+1/4,y+1/4,-z'
'x,-y+1/4,-z+1/4'
'-x,y+1/4,z+1/4'
'-x+1/4,y,-z+1/4'
'x+1/4,-y,z+1/4'
'x,y+1/2,z+1/2'
'-x,-y+1/2,-z+1/2'
'-x+1/4,-y+3/4,z+1/2'
'x+1/4,y+3/4,-z+1/2'
'x,-y+3/4,-z+3/4'
'-x,y+3/4,z+3/4'
'-x+1/4,y+1/2,-z+3/4'
'x+1/4,-y+1/2,z+3/4'
'x+1/2,y,z+1/2'
'-x+1/2,-y,-z+1/2'
'-x+3/4,-y+1/4,z+1/2'
'x+3/4,y+1/4,-z+1/2'
'x+1/2,-y+1/4,-z+3/4'
'-x+1/2,y+1/4,z+3/4'
'-x+3/4,y,-z+3/4'
'x+3/4,-y,z+3/4'
'x+1/2,y+1/2,z'
'-x+1/2,-y+1/2,-z'
'-x+3/4,-y+3/4,z'
'x+3/4,y+3/4,-z'
'x+1/2,-y+3/4,-z+1/4'
'-x+1/2,y+3/4,z+1/4'
'-x+3/4,y+1/2,-z+1/4'
'x+3/4,-y+1/2,z+1/4'
loop_
_atom_site_label
_atom_site_type_symbol
_atom_site_fract_x
_atom_site_fract_y
_atom_site_fract_z
Zn1 Zn 0.125 0.125 0.125
Cr1 Cr 0.000 0.000 0.500
P1 P 0.125 0.125 0.333
O1 O 0.047 0.364 0.526
O2 O 0.095 0.013 0.859
O3 O 0.125 0.125 0.547
```

The 10 most intense peaks (10° ≤ 2θ ≤ 90°), by angle:
- 3.994 Å, 2θ 22.3, I = 424
- 3.241 Å, 2θ 27.5, I = 708
- 3.010 Å, 2θ 29.7, I = 479
- 2.828 Å, 2θ 31.6, I = 1000
- 2.816 Å, 2θ 31.8, I = 598
- 2.407 Å, 2θ 37.4, I = 504
- 2.125 Å, 2θ 42.6, I = 184
- 1.997 Å, 2θ 45.4, I = 187
- 1.700 Å, 2θ 53.9, I = 310
- 1.630 Å, 2θ 56.5, I = 245

Diffraction record for ZnCr3P3O13. The powder XRD pattern is simulated, not measured: it uses a crystal structure in Alexandria, relaxed with PBE+U and λ = 1.5418 Å (Cu Kα).
Peak positions follow from Bragg's law for the DFT cell and can differ from measured ones.

```
data_ZnCr3P3O13
_space_group_name_H-M_alt 'P 1 21/m 1'
_space_group_IT_number 11
_space_group_name_Hall '-P 2yb'
_cell_length_a 7.413
_cell_length_b 6.302
_cell_length_c 10.578
_cell_angle_alpha 90.00
_cell_angle_beta 100.16
_cell_angle_gamma 90.00
loop_
_atom_site_label
_atom_site_type_symbol
_atom_site_fract_x
_atom_site_fract_y
_atom_site_fract_z
Zn1 Zn 0.117 0.250 0.140
Cr1 Cr 0.137 0.250 0.797
Cr2 Cr 0.269 0.750 0.449
Cr3 Cr 0.500 0.000 0.000
P1 P 0.195 0.750 0.126
P2 P 0.227 0.750 0.769
P3 P 0.287 0.250 0.518
O1 O 0.003 0.250 0.956
O2 O 0.102 0.563 0.797
O3 O 0.149 0.750 0.263
O4 O 0.161 0.250 0.620
O5 O 0.241 0.056 0.429
O6 O 0.286 0.750 0.640
O7 O 0.292 0.538 0.103
O8 O 0.376 0.250 0.907
O9 O 0.402 0.750 0.880
O10 O 0.488 0.250 0.590
```

The 10 most intense peaks (10° ≤ 2θ ≤ 90°), by angle:
- 4.643 Å, 2θ 19.1, I = 463
- 3.923 Å, 2θ 22.7, I = 583
- 3.649 Å, 2θ 24.4, I = 650
- 3.471 Å, 2θ 25.7, I = 410
- 3.269 Å, 2θ 27.3, I = 347
- 3.152 Å, 2θ 28.3, I = 1000
- 2.939 Å, 2θ 30.4, I = 741
- 2.770 Å, 2θ 32.3, I = 487
- 2.738 Å, 2θ 32.7, I = 428
- 2.333 Å, 2θ 38.6, I = 358

Diffraction record for Pa2Cr4O9. The powder XRD pattern is simulated, not measured: it uses a crystal structure in Alexandria, relaxed with PBE+U and λ = 1.5418 Å (Cu Kα).
Peak positions follow from Bragg's law for the DFT cell and can differ from measured ones.

```
data_Pa2Cr4O9
_space_group_name_H-M_alt 'P -1'
_space_group_IT_number 2
_space_group_name_Hall '-P 1'
_cell_length_a 5.255
_cell_length_b 5.748
_cell_length_c 15.091
_cell_angle_alpha 96.43
_cell_angle_beta 90.05
_cell_angle_gamma 117.10
loop_
_atom_site_label
_atom_site_type_symbol
_atom_site_fract_x
_atom_site_fract_y
_atom_site_fract_z
Pa1 Pa 0.032 0.496 0.362
Pa2 Pa 0.035 0.504 0.138
Cr1 Cr 0.301 0.157 0.687
Cr2 Cr 0.328 0.164 0.981
Cr3 Cr 0.336 0.164 0.481
Cr4 Cr 0.357 0.156 0.187
O1 O 0.002 0.759 0.252
O2 O 0.027 0.141 0.393
O3 O 0.058 0.140 0.087
O4 O 0.258 0.760 0.752
O5 O 0.261 0.457 0.554
O6 O 0.304 0.543 0.945
O7 O 0.341 0.500 0.250
O8 O 0.387 0.858 0.107
O9 O 0.418 0.860 0.413
```

The 10 most intense peaks (10° ≤ 2θ ≤ 90°), by angle:
- 5.076 Å, 2θ 17.5, I = 545
- 4.667 Å, 2θ 19.0, I = 920
- 3.743 Å, 2θ 23.8, I = 244
- 3.006 Å, 2θ 29.7, I = 1000
- 2.847 Å, 2θ 31.4, I = 801
- 2.842 Å, 2θ 31.5, I = 701
- 2.628 Å, 2θ 34.1, I = 262
- 2.391 Å, 2θ 37.6, I = 165
- 2.236 Å, 2θ 40.3, I = 240
- 1.930 Å, 2θ 47.1, I = 296

Diffraction record for Pa2Cr3O8. The powder XRD pattern is simulated, not measured: it uses a crystal structure in Alexandria, relaxed with PBE+U and λ = 1.5418 Å (Cu Kα).
Peak positions follow from Bragg's law for the DFT cell and can differ from measured ones.

```
data_Pa2Cr3O8
_space_group_name_H-M_alt 'P -1'
_space_group_IT_number 2
_space_group_name_Hall '-P 1'
_cell_length_a 5.296
_cell_length_b 5.685
_cell_length_c 6.340
_cell_angle_alpha 72.02
_cell_angle_beta 82.55
_cell_angle_gamma 89.18
loop_
_atom_site_label
_atom_site_type_symbol
_atom_site_fract_x
_atom_site_fract_y
_atom_site_fract_z
Pa1 Pa 0.031 0.189 0.191
Cr1 Cr 0.000 0.500 0.500
Cr2 Cr 0.496 0.711 0.233
O1 O 0.176 0.842 0.420
O2 O 0.193 0.465 0.862
O3 O 0.255 0.983 0.924
O4 O 0.286 0.386 0.318
```

The 10 most intense peaks (10° ≤ 2θ ≤ 90°), by angle:
- 5.249 Å, 2θ 16.9, I = 1000
- 3.705 Å, 2θ 24.0, I = 627
- 3.505 Å, 2θ 25.4, I = 379
- 3.050 Å, 2θ 29.3, I = 801
- 2.989 Å, 2θ 29.9, I = 221
- 2.811 Å, 2θ 31.8, I = 250
- 2.795 Å, 2θ 32.0, I = 402
- 2.781 Å, 2θ 32.2, I = 265
- 2.625 Å, 2θ 34.2, I = 245
- 2.509 Å, 2θ 35.8, I = 425